# Li2ReTe
Theoretical powder X-ray diffraction pattern, λ = 1.5418 Å (Cu Kα). Input: a DFT-relaxed cell (GGA-PBE, Alexandria).

Structure:
abc: 5.3787 9.0218 2.8271
angles: 90.00 90.00 90.00
Space group Cmmm (No. 65)
Asymmetric unit:
Li 0.2500 0.2500 0.0000 x4
Re 0.0000 0.0000 0.5000 x2
Te 0.0000 0.5000 0.5000 x2

Top 6 peaks for 10° ≤ 2θ ≤ 90°, by angle:
2θ (°)	I_rel
19.68	100
31.65	31
33.32	27
37.55	45
38.99	40
51.06	33

# Hf4Re3Ir
Theoretical powder X-ray diffraction pattern, λ = 1.5418 Å (Cu Kα). Input: a DFT-relaxed cell (GGA-PBE, Alexandria).

Structure:
abc: 3.2870 4.6184 9.2238
angles: 90.00 90.00 90.00
Space group Pmmm (No. 47)
Asymmetric unit:
Hf 0.0000 0.0000 0.0000 x1
Hf 0.0000 0.0000 0.5000 x1
Hf 0.0000 0.5000 0.2485 x2
Re 0.5000 0.0000 0.2522 x2
Re 0.5000 0.5000 0.0000 x1
Ir 0.5000 0.5000 0.5000 x1

Top 6 peaks for 10° ≤ 2θ ≤ 90°, by angle:
2θ (°)	I_rel
38.89	100
39.03	49
56.39	17
70.32	18
70.61	35
83.48	11

# La7As4I4
Theoretical powder X-ray diffraction pattern, λ = 1.5418 Å (Cu Kα). Input: a DFT-relaxed cell (GGA-PBE, Alexandria).

Structure:
abc: 15.7719 15.7719 7.7908
angles: 90.00 90.00 90.00
Space group I4/mmm (No. 139)
Asymmetric unit:
La 0.0000 0.0000 0.2472 x4
La 0.0000 0.2940 0.0000 x8
La 0.0000 0.3809 0.5000 x8
La 0.2178 0.2178 0.5000 x8
As 0.1487 0.3513 0.2500 x16
I 0.0000 0.1693 0.5000 x8
I 0.1223 0.1223 0.0000 x8

Top 6 peaks for 10° ≤ 2θ ≤ 90°, by angle:
2θ (°)	I_rel
22.83	24
29.09	32
30.58	100
34.30	43
45.23	33
46.63	15